Calculated powder diffraction line list
Compound: Tl2Se
Radiation: Cu Kα X-rays
Structure: a structure optimized by DFT (PBE)
Neutral-atom scattering factors, no anomalous dispersion.

Most intense lines, 10 to 80 degrees two-theta, in order of rising 2θ:
d 3.629, intensity 100; d 3.355, intensity 29; d 2.972, intensity 41; d 2.729, intensity 62; d 2.701, intensity 30; d 2.264, intensity 20; d 2.138, intensity 21; d 2.126, intensity 36; d 1.803, intensity 20; d 1.677, intensity 21

Crystal structure
```
Tl2Se
1.0
6.809 -2.138 0.000
6.809 2.138 0.000
-1.252 0.000 7.245
Tl Se
4 2
Direct
0.000 0.000 0.000
0.240 0.240 0.418
0.509 0.509 0.463
0.728 0.728 0.875
0.353 0.353 0.098
0.884 0.884 0.611
```



Calculated powder diffraction line list
Compound: Tl3Se2
Radiation: Cu Kα X-rays
Structure: a structure optimized by DFT (PBE)
Neutral-atom scattering factors, no anomalous dispersion.

Most intense lines, 10 to 80 degrees two-theta, in order of rising 2θ:
d 3.596, intensity 100; d 3.512, intensity 82; d 3.368, intensity 49; d 3.085, intensity 77; d 3.063, intensity 51; d 3.048, intensity 78; d 2.558, intensity 53; d 2.244, intensity 59; d 2.146, intensity 55; d 1.807, intensity 45

Crystal structure
```
Tl3Se2
1.0
7.524 0.000 0.000
0.000 4.488 0.000
-0.148 0.000 10.195
Tl Se
6 4
Direct
0.036 0.250 0.322
0.283 0.250 0.053
0.391 0.250 0.647
0.609 0.750 0.353
0.717 0.750 0.947
0.964 0.750 0.678
0.232 0.750 0.454
0.329 0.750 0.867
0.671 0.250 0.133
0.768 0.250 0.546
```



Please write out number 2 again, unchanged.
Calculated powder diffraction line list
Compound: Tl3Se2
Radiation: Cu Kα X-rays
Structure: a structure optimized by DFT (PBE)
Neutral-atom scattering factors, no anomalous dispersion.

Most intense lines, 10 to 80 degrees two-theta, in order of rising 2θ:
d 3.596, intensity 100; d 3.512, intensity 82; d 3.368, intensity 49; d 3.085, intensity 77; d 3.063, intensity 51; d 3.048, intensity 78; d 2.558, intensity 53; d 2.244, intensity 59; d 2.146, intensity 55; d 1.807, intensity 45

Crystal structure
```
Tl3Se2
1.0
7.524 0.000 0.000
0.000 4.488 0.000
-0.148 0.000 10.195
Tl Se
6 4
Direct
0.036 0.250 0.322
0.283 0.250 0.053
0.391 0.250 0.647
0.609 0.750 0.353
0.717 0.750 0.947
0.964 0.750 0.678
0.232 0.750 0.454
0.329 0.750 0.867
0.671 0.250 0.133
0.768 0.250 0.546
```